Record 1
Calculated powder X-ray diffraction pattern
Compound: Cs2CrPbF6
Radiation: Cu Kα
Structure: the GGA+U geometry in Alexandria
Intensities are scaled so that the largest is 1000.

Main lines, low angle first (2θ from 10° to 90°):
two_theta, intensity
16.57, 237
26.90, 1000
27.82, 463
32.55, 138
37.04, 189
39.75, 303
46.95, 223
48.65, 390
55.45, 219
75.10, 112

Atomic structure:
```
Cs2CrPbF6
1.0
-3.2070 3.2070 4.8541
3.2070 -3.2070 4.8541
3.2070 3.2070 -4.8541
Cs Cr Pb F
2 1 1 6
Cartesian
3.2070 0.0000 2.4271 Cs
0.0000 3.2070 2.4271 Cs
0.0000 0.0000 0.0000 Cr
0.0000 0.0000 4.8541 Pb
1.4533 1.4533 0.0000 F
1.7536 -1.7536 4.8541 F
0.0000 0.0000 2.4192 F
0.0000 0.0000 7.2890 F
-1.7536 1.7536 4.8541 F
1.7536 1.7536 4.8541 F
```

---

Record 2
Calculated powder X-ray diffraction pattern
Compound: CaCrIn2F6
Radiation: Cu Kα
Structure: the GGA+U geometry in Alexandria
Intensities are scaled so that the largest is 1000.

Main lines, low angle first (2θ from 10° to 90°):
two_theta, intensity
28.16, 1000
29.09, 181
29.58, 226
34.95, 161
35.36, 214
38.44, 279
41.97, 331
51.00, 160
51.60, 186
58.22, 228

Atomic structure:
```
CaCrIn2F6
1.0
6.0407 0.0000 0.0000
0.0000 9.3650 0.0000
0.0000 0.0000 6.1388
Ca Cr In F
2 2 4 12
Cartesian
1.5102 2.3412 1.4866 Ca
4.5306 7.0237 4.6522 Ca
1.5102 7.0237 1.5122 Cr
4.5306 2.3412 4.6265 Cr
1.5102 0.0798 4.3805 In
1.5102 4.6027 4.3805 In
4.5306 4.7623 1.7583 In
4.5306 9.2852 1.7583 In
0.0517 7.0237 2.9539 F
0.0714 7.0237 0.0945 F
1.5102 0.1039 1.9343 F
1.5102 4.5786 1.9343 F
2.9490 7.0237 0.0945 F
2.9687 7.0237 2.9539 F
3.0720 2.3412 3.1849 F
3.0918 2.3412 6.0442 F
4.5306 4.7864 4.2045 F
4.5306 9.2610 4.2045 F
5.9693 2.3412 6.0442 F
5.9891 2.3412 3.1849 F
```

---

Record 3
Calculated powder X-ray diffraction pattern
Compound: LiMnF4
Radiation: Cu Kα
Structure: the GGA+U geometry in Alexandria
Intensities are scaled so that the largest is 1000.

Main lines, low angle first (2θ from 10° to 90°):
two_theta, intensity
15.90, 1000
24.23, 733
27.14, 409
30.97, 157
35.83, 140
39.86, 182
43.41, 185
56.26, 123
58.73, 154
63.01, 145

Atomic structure:
```
LiMnF4
1.0
5.7706 -2.6535 0.0000
5.7706 2.6535 0.0000
-1.3417 0.0000 5.0128
Li Mn F
2 2 8
Cartesian
4.7643 2.0732 3.7596 Li
5.4351 -2.0732 1.2532 Li
2.8853 1.3267 0.0000 Mn
2.2144 -1.3267 2.5064 Mn
4.6624 1.9620 0.0261 F
3.1055 0.4934 1.6669 F
6.2078 1.9620 2.4802 F
2.4347 -0.4934 4.1732 F
7.7647 0.4934 0.8395 F
3.9915 -1.9620 2.5325 F
7.0938 -0.4934 3.3459 F
5.5370 -1.9620 4.9866 F
```